Entry 1:
Diffraction record for Pm2TcGe5. The powder X-ray diffraction pattern is computed, not measured: it uses a crystal structure in Alexandria, relaxed with GGA-PBE and CuKα.
Intensities are scaled so that the largest is 1000.

Principal peaks in the range 10 to 90 degrees two-theta, in order of falling intensity:
2θ (°), I (rel.), index
35.30, 1000, 2 0 2
28.48, 714, 1 1 2
41.53, 566, 2 2 0
58.94, 355, 2 2 4
39.88, 334, 0 0 4
34.07, 218, 2 1 1
51.13, 193, 3 1 2
71.74, 162, 4 2 2
60.19, 157, 4 0 0
17.44, 156, 1 0 1

Structure:
Lattice parameters (Å, degrees): 6.1498 6.1498 9.0414 90.00 90.00 90.00
Space group I4mm (No. 107)
Unique sites:
1 Pm 0.0000 0.5000 0.0000 [4 per cell]
2 Tc 0.0000 0.0000 0.2749 [2 per cell]
3 Ge 0.0000 0.0000 0.5416 [2 per cell]
4 Ge 0.2137 0.2137 0.7561 [8 per cell]

Entry 2:
Diffraction record for BaTa2Mn. The powder X-ray diffraction pattern is computed, not measured: it uses a crystal structure in Alexandria, relaxed with GGA-PBE and CuKα.
Intensities are scaled so that the largest is 1000.

Principal peaks in the range 10 to 90 degrees two-theta, in order of falling intensity:
2θ (°), I (rel.), index
32.67, 1000, 1 1 1
13.24, 898, 0 0 1
41.29, 668, 3 1 -1
30.70, 445, 2 0 -2
26.65, 359, 0 0 2
39.32, 347, 4 0 0
51.84, 264, 1 1 3
25.11, 211, 2 0 1
40.85, 211, 1 1 2
55.05, 159, 3 1 -3

Structure:
Lattice parameters (Å, degrees): 9.2648 3.2609 6.7617 90.00 98.43 90.00
Space group Cm (No. 8)
Unique sites:
1 Ba 0.0000 0.0000 0.0000 [2 per cell]
2 Ta 0.2126 0.0000 0.6206 [2 per cell]
3 Ta 0.4709 0.0000 0.4689 [2 per cell]
4 Mn 0.2508 0.5000 0.3649 [2 per cell]

Entry 3:
Diffraction record for Pm5TmSn4. The powder X-ray diffraction pattern is computed, not measured: it uses a crystal structure in Alexandria, relaxed with GGA-PBE and CuKα.
Intensities are scaled so that the largest is 1000.

Principal peaks in the range 10 to 90 degrees two-theta, in order of falling intensity:
2θ (°), I (rel.), index
33.89, 1000, 3 1 -2
34.20, 974, 3 1 2
32.66, 547, 6 0 0
33.41, 522, 0 2 0
47.42, 390, 6 2 0
61.78, 264, 0 2 4
23.20, 247, 3 1 0
58.88, 199, 9 1 -2
60.03, 196, 3 3 -2
60.22, 194, 3 3 2

Structure:
Lattice parameters (Å, degrees): 16.4533 5.3639 7.2464 90.00 90.71 90.00
Space group C2/m (No. 12)
Unique sites:
1 Pm 0.0000 0.0000 0.0000 [2 per cell]
2 Pm 0.1656 0.5000 0.9974 [4 per cell]
3 Pm 0.1668 0.5000 0.5063 [4 per cell]
4 Tm 0.0000 0.0000 0.5000 [2 per cell]
5 Sn 0.0077 0.5000 0.2575 [4 per cell]
6 Sn 0.1735 0.0000 0.7483 [4 per cell]

Entry 4:
Diffraction record for Tb6Pb3N2. The powder X-ray diffraction pattern is computed, not measured: it uses a crystal structure in Alexandria, relaxed with GGA-PBE and CuKα.
Intensities are scaled so that the largest is 1000.

Principal peaks in the range 10 to 90 degrees two-theta, in order of falling intensity:
2θ (°), I (rel.), index
34.10, 1000, 1 1 6
37.94, 504, 2 0 0
27.50, 318, 1 1 2
66.08, 303, 3 1 6
54.74, 176, 2 2 0
30.13, 155, 1 1 4
52.80, 145, 2 0 10
19.03, 125, 1 0 1
28.09, 123, 0 0 8
58.43, 121, 2 0 12

Structure:
Lattice parameters (Å, degrees): 4.7433 4.7433 25.4135 90.00 90.00 90.00
Space group I4/mmm (No. 139)
Unique sites:
1 Tb 0.0000 0.0000 0.1909 [4 per cell]
2 Tb 0.0000 0.5000 0.0847 [8 per cell]
3 Pb 0.0000 0.0000 0.3206 [4 per cell]
4 Pb 0.0000 0.0000 0.5000 [2 per cell]
5 N 0.0000 0.0000 0.1021 [4 per cell]